# 1
Starting from a DFT-relaxed cell (GGA-PBE, Alexandria), the XRD peak list of Y3CoPb was computed for Cu Kα X-rays.
Kinematic intensities with the Lorentz-polarization factor, no thermal factor.

Cell and atoms:
```
data_Y3CoPb
_chemical_formula_sum 'Y12 Co4 Pb4'
_cell_length_a 16.504
_cell_length_b 3.717
_cell_length_c 8.692
_cell_angle_alpha 90.00
_cell_angle_beta 93.68
_cell_angle_gamma 90.00
_symmetry_space_group_name_H-M 'C 1 2/m 1'
_symmetry_Int_Tables_number 12
_symmetry_space_group_name_Hall '-C 2y'
loop_
_atom_site_label
_atom_site_type_symbol
_atom_site_fract_x
_atom_site_fract_y
_atom_site_fract_z
_atom_site_occupancy
Y1 Y 0.050 0.000 0.211 1
Y2 Y 0.106 0.500 0.547 1
Y3 Y 0.241 0.500 0.218 1
Co1 Co 0.213 0.000 0.447 1
Pb1 Pb 0.112 0.500 0.922 1
```

Top 8 peaks for 5° ≤ 2θ ≤ 70°, in order of falling intensity:
| 2theta | I_rel | hkl |
| --- | --- | --- |
| 30.5 | 1000 | 3 1 -1 |
| 36.4 | 660 | 5 1 0 |
| 29.0 | 459 | 4 0 -2 |
| 30.9 | 422 | 4 0 2 |
| 40.2 | 351 | 1 1 3 |
| 32.4 | 330 | 1 1 2 |
| 33.5 | 299 | 2 0 3 |
| 24.5 | 299 | 1 1 0 |

***

# 2
Starting from a DFT-relaxed cell (GGA-PBE, Alexandria), the XRD peak list of Mg3Te4O11 was computed for Cu Kα X-rays.
Kinematic intensities with the Lorentz-polarization factor, no thermal factor.

Cell and atoms:
```
data_Mg3Te4O11
_chemical_formula_sum 'Mg6 Te8 O22'
_cell_length_a 8.352
_cell_length_b 8.601
_cell_length_c 9.045
_cell_angle_alpha 63.54
_cell_angle_beta 68.72
_cell_angle_gamma 70.99
_symmetry_space_group_name_H-M 'P -1'
_symmetry_Int_Tables_number 2
_symmetry_space_group_name_Hall '-P 1'
loop_
_atom_site_label
_atom_site_type_symbol
_atom_site_fract_x
_atom_site_fract_y
_atom_site_fract_z
_atom_site_occupancy
Mg1 Mg 0.038 0.295 0.338 1
Mg2 Mg 0.421 0.536 0.354 1
Mg3 Mg 0.458 0.152 0.089 1
Te1 Te 0.169 0.875 0.231 1
Te2 Te 0.194 0.582 0.946 1
Te3 Te 0.251 0.217 0.754 1
Te4 Te 0.304 0.937 0.553 1
O1 O 0.080 0.874 0.673 1
O2 O 0.104 0.491 0.834 1
O3 O 0.161 0.673 0.442 1
O4 O 0.209 0.185 0.492 1
O5 O 0.259 0.363 0.120 1
O6 O 0.283 0.992 0.290 1
O7 O 0.339 0.106 0.952 1
O8 O 0.361 0.976 0.742 1
O9 O 0.367 0.731 0.131 1
O10 O 0.406 0.614 0.772 1
O11 O 0.428 0.348 0.596 1
```

Top 8 peaks for 5° ≤ 2θ ≤ 70°, in order of falling intensity:
| 2theta | I_rel | hkl |
| --- | --- | --- |
| 27.1 | 1000 | 2 2 2 |
| 30.8 | 806 | 2 1 -1 |
| 19.1 | 801 | 0 1 -1 |
| 23.3 | 640 | 2 0 0 |
| 26.0 | 536 | 0 2 2 |
| 28.3 | 482 | -1 2 1 |
| 30.3 | 403 | 1 -1 2 |
| 31.9 | 345 | 0 1 3 |